For Sr2HoGeS5, a DFT-relaxed cell (PBE, Alexandria) gives the theoretical powder diffractogram in this record (Cu Kα, 1.54184 Å).
Intensities are scaled so that the largest is 100.

Principal peaks in the range 2θ from 10° to 80°, low angle first:
| 2θ/deg | I_rel |
| --- | --- |
| 17.79 | 22 |
| 24.25 | 31 |
| 27.19 | 31 |
| 31.17 | 100 |
| 31.50 | 54 |
| 36.55 | 46 |
| 43.16 | 25 |
| 54.40 | 23 |

Cell and atoms:
a b c (Å): 9.013 9.013 12.122
angles (deg): 90.00 90.00 153.10
Positions (direct):
Sr  0.117  0.883  0.500
Sr  0.125  0.875  0.142
Sr  0.875  0.125  0.642
Sr  0.883  0.117  0.000
Ho  0.208  0.792  0.843
Ho  0.792  0.208  0.343
Ge  0.446  0.554  0.259
Ge  0.554  0.446  0.759
S  0.044  0.956  0.845
S  0.295  0.705  0.488
S  0.318  0.682  0.190
S  0.356  0.644  0.824
S  0.499  0.501  0.589
S  0.501  0.499  0.089
S  0.644  0.356  0.324
S  0.682  0.318  0.690
S  0.705  0.295  0.988
S  0.956  0.044  0.345

***

For Tb3CeDy, a DFT-relaxed cell (PBE, Alexandria) gives the theoretical powder diffractogram in this record (Cu Kα, 1.54184 Å).
Intensities are scaled so that the largest is 100.

Principal peaks in the range 2θ from 10° to 80°, low angle first:
| 2θ/deg | I_rel |
| --- | --- |
| 26.56 | 45 |
| 27.18 | 51 |
| 31.33 | 64 |
| 32.24 | 55 |
| 32.74 | 29 |
| 34.10 | 100 |
| 34.25 | 97 |
| 49.36 | 30 |

Cell and atoms:
a b c (Å): 7.020 10.942 8.754
angles (deg): 90.00 101.92 90.00
Positions (direct):
Tb  0.085  0.060  0.349
Tb  0.085  0.440  0.349
Tb  0.254  0.507  0.005
Tb  0.254  0.993  0.005
Tb  0.414  0.560  0.653
Tb  0.414  0.940  0.653
Tb  0.586  0.060  0.347
Tb  0.586  0.440  0.347
Tb  0.746  0.007  0.995
Tb  0.746  0.493  0.995
Tb  0.915  0.560  0.651
Tb  0.915  0.940  0.651
Ce  0.177  0.250  0.694
Ce  0.492  0.750  0.943
Ce  0.508  0.250  0.057
Ce  0.823  0.750  0.306
Dy  0.023  0.250  0.048
Dy  0.324  0.750  0.305
Dy  0.676  0.250  0.695
Dy  0.977  0.750  0.952

***

For Na2Er2USe6, a DFT-relaxed cell (PBE, Alexandria) gives the theoretical powder diffractogram in this record (Cu Kα, 1.54184 Å).
Intensities are scaled so that the largest is 100.

Principal peaks in the range 2θ from 10° to 80°, low angle first:
| 2θ/deg | I_rel |
| --- | --- |
| 12.54 | 100 |
| 25.35 | 27 |
| 30.19 | 44 |
| 30.24 | 87 |
| 39.05 | 27 |
| 42.53 | 48 |
| 43.96 | 32 |
| 70.25 | 20 |

Cell and atoms:
a b c (Å): 7.124 7.124 7.451
angles (deg): 99.21 99.21 119.85
Positions (direct):
Na  0.168  0.832  0.000
Na  0.832  0.168  0.000
Er  0.334  0.666  0.500
Er  0.666  0.334  0.500
U  0.000  0.000  0.500
Se  0.074  0.407  0.724
Se  0.256  0.256  0.277
Se  0.407  0.074  0.724
Se  0.593  0.926  0.276
Se  0.744  0.744  0.723
Se  0.926  0.593  0.276

***

For Nd3HoTe4, a DFT-relaxed cell (PBE, Alexandria) gives the theoretical powder diffractogram in this record (Cu Kα, 1.54184 Å).
Intensities are scaled so that the largest is 100.

Principal peaks in the range 2θ from 10° to 80°, low angle first:
| 2θ/deg | I_rel |
| --- | --- |
| 26.39 | 22 |
| 27.81 | 100 |
| 29.46 | 71 |
| 37.78 | 44 |
| 40.18 | 37 |
| 41.61 | 75 |
| 50.79 | 19 |
| 64.76 | 40 |

Cell and atoms:
a b c (Å): 4.341 4.341 30.776
angles (deg): 90.00 90.00 120.00
Positions (direct):
Nd  0.000  0.000  0.000
Nd  0.000  0.000  0.500
Nd  0.333  0.667  0.126
Nd  0.333  0.667  0.374
Nd  0.667  0.333  0.626
Nd  0.667  0.333  0.874
Ho  0.333  0.667  0.750
Ho  0.667  0.333  0.250
Te  0.000  0.000  0.190
Te  0.000  0.000  0.310
Te  0.000  0.000  0.690
Te  0.000  0.000  0.810
Te  0.333  0.667  0.563
Te  0.333  0.667  0.937
Te  0.667  0.333  0.063
Te  0.667  0.333  0.437